Simulated X-ray powder pattern
Compound: Ce7Bi2Pb2
Radiation: copper Kα
Structure: a DFT-relaxed cell (GGA-PBE, Alexandria)

Cell and atoms:
a = 7.555 Å, b = 7.555 Å, c = 6.799 Å
α = 90.00°, β = 90.00°, γ = 100.43°
Atoms (fractional coordinates):
Ce: 0.000 0.000 0.000
Ce: 0.000 0.500 0.305
Ce: 0.000 0.500 0.695
Ce: 0.500 0.000 0.305
Ce: 0.500 0.000 0.695
Ce: 0.500 0.500 0.303
Ce: 0.500 0.500 0.697
Bi: 0.177 0.177 0.500
Bi: 0.823 0.823 0.500
Pb: 0.280 0.720 0.000
Pb: 0.720 0.280 0.000

Main lines, sorted by position (2θ = 10–90°):
20.11°, rel. 49
22.57°, rel. 99
28.88°, rel. 29
30.80°, rel. 82
31.67°, rel. 33
35.80°, rel. 100
36.38°, rel. 42
37.19°, rel. 28
38.52°, rel. 39
38.69°, rel. 46